Record 1
Computed X-ray powder pattern
Compound: Cs5H4Au
Radiation: copper Kα
Structure: a structure optimized by DFT (GGA-PBE)
Neutral-atom scattering factors, no anomalous dispersion.

Structure:
```
Cs5H4Au
1.0
-2.304 3.377 11.715
2.304 -3.377 11.715
2.304 3.377 -11.715
Cs H Au
5 4 1
Cartesian
0.000 0.000 0.000
0.000 0.000 4.636
0.000 0.000 8.984
0.000 0.000 14.447
0.000 0.000 18.794
2.304 0.000 2.459
2.304 0.000 6.884
0.000 3.377 4.831
0.000 3.377 9.257
0.000 3.377 0.000
```

Principal peaks in the range 10 to 90 degrees two-theta, by intensity:
d/Å	intensity
3.285	100
2.355	80
3.377	58
3.806	44
3.850	38
1.502	23

Record 2
Computed X-ray powder pattern
Compound: Y3Tm
Radiation: copper Kα
Structure: a structure optimized by DFT (GGA-PBE)
Neutral-atom scattering factors, no anomalous dispersion.

Structure:
```
Y3Tm
1.0
7.251 0.000 0.000
-3.626 6.280 0.000
0.000 0.000 5.637
Y Tm
6 2
Cartesian
0.000 2.104 1.409
-1.804 5.228 1.409
1.822 1.052 4.227
1.804 5.228 1.409
5.429 1.052 4.227
3.626 4.176 4.227
0.000 4.187 4.227
3.626 2.093 1.409
```

Principal peaks in the range 10 to 90 degrees two-theta, by intensity:
d/Å	intensity
2.743	100
3.140	24
2.818	24
1.525	22
1.813	20
1.612	20

Copy entry 1 word for word.
Computed X-ray powder pattern
Compound: Cs5H4Au
Radiation: copper Kα
Structure: a structure optimized by DFT (GGA-PBE)
Neutral-atom scattering factors, no anomalous dispersion.

Structure:
```
Cs5H4Au
1.0
-2.304 3.377 11.715
2.304 -3.377 11.715
2.304 3.377 -11.715
Cs H Au
5 4 1
Cartesian
0.000 0.000 0.000
0.000 0.000 4.636
0.000 0.000 8.984
0.000 0.000 14.447
0.000 0.000 18.794
2.304 0.000 2.459
2.304 0.000 6.884
0.000 3.377 4.831
0.000 3.377 9.257
0.000 3.377 0.000
```

Principal peaks in the range 10 to 90 degrees two-theta, by intensity:
d/Å	intensity
3.285	100
2.355	80
3.377	58
3.806	44
3.850	38
1.502	23